1.
# TbDy7
Calculated XRD peak list, CuKα. Input: a crystal structure in Alexandria, relaxed with GGA-PBE.
No peak broadening, texture or thermal motion is included.

Cell and atoms:
a b c (Å): 7.067 7.067 7.067
angles (deg): 60.00 60.00 60.00
Fractional coordinates of all 8 atoms:
1 Tb 0.000 0.000 0.000
2 Dy 0.000 0.000 0.500
3 Dy 0.000 0.500 0.000
4 Dy 0.000 0.500 0.500
5 Dy 0.500 0.000 0.000
6 Dy 0.500 0.000 0.500
7 Dy 0.500 0.500 0.000
8 Dy 0.500 0.500 0.500

Most intense lines, 10 to 90 degrees two-theta, in order of rising 2θ:
2theta, intensity
31.00, 100
35.95, 51
51.75, 36
61.55, 43
64.61, 12
76.21, 6
84.52, 18
87.26, 17



2.
# Tb3Dy2Tc2
Calculated XRD peak list, CuKα. Input: a crystal structure in Alexandria, relaxed with GGA-PBE.
No peak broadening, texture or thermal motion is included.

Cell and atoms:
a b c (Å): 6.392 6.392 8.443
angles (deg): 111.72 111.72 34.99
Fractional coordinates of all 7 atoms:
1 Tb 0.000 0.000 0.000
2 Tb 0.124 0.124 0.432
3 Tb 0.876 0.876 0.568
4 Dy 0.336 0.336 0.183
5 Dy 0.664 0.664 0.817
6 Tc 0.322 0.322 0.786
7 Tc 0.678 0.678 0.214

Most intense lines, 10 to 90 degrees two-theta, in order of rising 2θ:
2theta, intensity
31.49, 46
31.89, 60
32.13, 100
32.69, 57
33.40, 39
34.95, 44
35.85, 45
40.08, 39
47.30, 36
58.17, 41



3.
# Tb2DyTc
Calculated XRD peak list, CuKα. Input: a crystal structure in Alexandria, relaxed with GGA-PBE.
No peak broadening, texture or thermal motion is included.

Cell and atoms:
a b c (Å): 7.419 9.232 6.279
angles (deg): 90.00 90.00 90.00
Fractional coordinates of all 16 atoms:
1 Tb 0.177 0.064 0.161
2 Tb 0.177 0.436 0.161
3 Tb 0.323 0.564 0.661
4 Tb 0.323 0.936 0.661
5 Tb 0.677 0.064 0.339
6 Tb 0.677 0.436 0.339
7 Tb 0.823 0.564 0.839
8 Tb 0.823 0.936 0.839
9 Dy 0.043 0.250 0.630
10 Dy 0.457 0.750 0.130
11 Dy 0.543 0.250 0.870
12 Dy 0.957 0.750 0.370
13 Tc 0.113 0.750 0.960
14 Tc 0.387 0.250 0.460
15 Tc 0.613 0.750 0.540
16 Tc 0.887 0.250 0.040

Most intense lines, 10 to 90 degrees two-theta, in order of rising 2θ:
2theta, intensity
29.60, 28
30.93, 75
32.43, 100
34.14, 41
34.62, 50
37.99, 18
39.15, 22
49.38, 24
55.98, 22
57.69, 21



4.
# TbDy5Te4
Calculated XRD peak list, CuKα. Input: a crystal structure in Alexandria, relaxed with GGA-PBE.
No peak broadening, texture or thermal motion is included.

Cell and atoms:
a b c (Å): 9.139 9.691 7.492
angles (deg): 90.00 90.00 90.00
Fractional coordinates of all 20 atoms:
1 Tb 0.250 0.250 0.139
2 Tb 0.750 0.750 0.861
3 Dy 0.056 0.058 0.763
4 Dy 0.056 0.442 0.763
5 Dy 0.250 0.750 0.782
6 Dy 0.444 0.058 0.763
7 Dy 0.444 0.442 0.763
8 Dy 0.556 0.558 0.237
9 Dy 0.556 0.942 0.237
10 Dy 0.750 0.250 0.218
11 Dy 0.944 0.558 0.237
12 Dy 0.944 0.942 0.237
13 Te 0.021 0.250 0.440
14 Te 0.250 0.551 0.083
15 Te 0.250 0.949 0.083
16 Te 0.479 0.250 0.440
17 Te 0.521 0.750 0.560
18 Te 0.750 0.051 0.917
19 Te 0.750 0.449 0.917
20 Te 0.979 0.750 0.560

Most intense lines, 10 to 90 degrees two-theta, in order of rising 2θ:
2theta, intensity
22.80, 47
23.75, 19
24.60, 29
30.13, 100
31.71, 33
36.12, 68
36.86, 33
37.33, 23
38.08, 26
64.14, 19



5.
# Tb5DyTe8
Calculated XRD peak list, CuKα. Input: a crystal structure in Alexandria, relaxed with GGA-PBE.
No peak broadening, texture or thermal motion is included.

Cell and atoms:
a b c (Å): 8.316 8.316 8.316
angles (deg): 106.34 106.34 115.93
Fractional coordinates of all 14 atoms:
1 Tb 0.000 0.000 0.000
2 Tb 0.125 0.576 0.951
3 Tb 0.424 0.375 0.549
4 Tb 0.625 0.174 0.049
5 Tb 0.826 0.875 0.451
6 Dy 0.250 0.750 0.500
7 Te 0.273 0.131 0.757
8 Te 0.374 0.516 0.243
9 Te 0.382 0.022 0.258
10 Te 0.484 0.727 0.859
11 Te 0.765 0.125 0.742
12 Te 0.869 0.626 0.141
13 Te 0.875 0.618 0.640
14 Te 0.978 0.235 0.360

Most intense lines, 10 to 90 degrees two-theta, in order of rising 2θ:
2theta, intensity
26.99, 37
28.31, 34
28.71, 100
31.72, 52
33.98, 29
34.98, 98
36.03, 24
43.64, 28
44.96, 36
46.70, 58



6.
# Tb2Dy2Te7
Calculated XRD peak list, CuKα. Input: a crystal structure in Alexandria, relaxed with GGA-PBE.
No peak broadening, texture or thermal motion is included.

Cell and atoms:
a b c (Å): 9.584 9.584 9.584
angles (deg): 154.46 68.04 118.15
Fractional coordinates of all 11 atoms:
1 Tb 0.243 0.000 0.243
2 Tb 0.757 0.000 0.757
3 Dy 0.328 0.828 0.500
4 Dy 0.774 0.774 0.000
5 Te 0.024 0.700 0.324
6 Te 0.094 0.094 0.000
7 Te 0.376 0.700 0.676
8 Te 0.389 0.499 0.891
9 Te 0.608 0.499 0.109
10 Te 0.671 0.314 0.357
11 Te 0.957 0.314 0.643

Most intense lines, 10 to 90 degrees two-theta, in order of rising 2θ:
2theta, intensity
26.95, 17
28.35, 34
32.07, 23
32.20, 100
32.60, 35
36.43, 66
38.60, 31
42.68, 30
56.48, 26
58.89, 18



7.
# Tb3DyTe6
Calculated XRD peak list, CuKα. Input: a crystal structure in Alexandria, relaxed with GGA-PBE.
No peak broadening, texture or thermal motion is included.

Cell and atoms:
a b c (Å): 9.038 9.038 9.038
angles (deg): 90.53 90.53 90.53
Fractional coordinates of all 20 atoms:
1 Tb 0.075 0.582 0.743
2 Tb 0.257 0.925 0.418
3 Tb 0.418 0.257 0.925
4 Tb 0.582 0.743 0.075
5 Tb 0.743 0.075 0.582
6 Tb 0.925 0.418 0.257
7 Dy 0.000 0.000 0.000
8 Dy 0.500 0.500 0.500
9 Te 0.039 0.911 0.679
10 Te 0.089 0.321 0.961
11 Te 0.185 0.587 0.409
12 Te 0.321 0.961 0.089
13 Te 0.409 0.185 0.587
14 Te 0.413 0.591 0.815
15 Te 0.587 0.409 0.185
16 Te 0.591 0.815 0.413
17 Te 0.679 0.039 0.911
18 Te 0.815 0.413 0.591
19 Te 0.911 0.679 0.039
20 Te 0.961 0.089 0.321

Most intense lines, 10 to 90 degrees two-theta, in order of rising 2θ:
2theta, intensity
17.15, 41
19.65, 32
21.91, 53
24.08, 44
31.21, 84
31.39, 100
37.05, 84
37.51, 38
41.09, 19
45.03, 27



8.
# Tb2Dy4Te9
Calculated XRD peak list, CuKα. Input: a crystal structure in Alexandria, relaxed with GGA-PBE.
No peak broadening, texture or thermal motion is included.

Cell and atoms:
a b c (Å): 7.699 7.699 21.106
angles (deg): 90.00 90.00 120.00
Fractional coordinates of all 30 atoms:
1 Tb 0.000 0.000 0.157
2 Tb 0.000 0.000 0.343
3 Tb 0.000 0.000 0.657
4 Tb 0.000 0.000 0.843
5 Dy 0.333 0.667 0.176
6 Dy 0.333 0.667 0.490
7 Dy 0.333 0.667 0.676
8 Dy 0.333 0.667 0.990
9 Dy 0.667 0.333 0.010
10 Dy 0.667 0.333 0.324
11 Dy 0.667 0.333 0.510
12 Dy 0.667 0.333 0.824
13 Te 0.000 0.315 0.250
14 Te 0.000 0.685 0.750
15 Te 0.019 0.354 0.583
16 Te 0.019 0.665 0.083
17 Te 0.315 0.000 0.250
18 Te 0.315 0.315 0.750
19 Te 0.335 0.354 0.083
20 Te 0.335 0.981 0.583
21 Te 0.354 0.019 0.917
22 Te 0.354 0.335 0.417
23 Te 0.646 0.665 0.583
24 Te 0.646 0.981 0.083
25 Te 0.665 0.019 0.417
26 Te 0.665 0.646 0.917
27 Te 0.685 0.000 0.750
28 Te 0.685 0.685 0.250
29 Te 0.981 0.335 0.917
30 Te 0.981 0.646 0.417

Most intense lines, 10 to 90 degrees two-theta, in order of rising 2θ:
2theta, intensity
15.72, 34
21.48, 27
26.39, 89
31.75, 20
34.54, 100
40.59, 63
45.28, 20
54.33, 27
67.97, 21
69.98, 24